1.
Theoretical X-ray diffraction stick pattern of Mg4Tl2Cd3 for Cu Kα, 1.54184 Å, from a cell relaxed with PBE.
Peak positions follow from Bragg's law for the DFT cell and can differ from measured ones.

Structure:
```
data_Mg4Tl2Cd3
_chemical_formula_sum 'Mg4 Tl2 Cd3'
_cell_length_a 4.4841
_cell_length_b 5.4318
_cell_length_c 9.7343
_cell_angle_alpha 75.22
_cell_angle_beta 89.95
_cell_angle_gamma 67.05
_space_group_name_H-M_alt 'P -1'
_space_group_IT_number 2
loop_
_space_group_symop_operation_xyz
'x,y,z'
'-x,-y,-z'
loop_
_atom_site_label
_atom_site_fract_x
_atom_site_fract_y
_atom_site_fract_z
Mg1 0.0090 0.4807 0.3354
Mg2 0.3335 0.8264 0.1117
Tl1 0.3296 0.8481 0.7791
Cd1 0.0000 0.5000 0.0000
Cd2 0.3409 0.8134 0.4453
```

Most intense lines, 10° ≤ 2θ ≤ 90°, by angle:
two_theta, I/Imax
18.27, 36
22.56, 37
33.96, 50
34.14, 100
34.84, 46
38.52, 43

***

2.
Theoretical X-ray diffraction stick pattern of Mg3TlCd for Cu Kα, 1.54184 Å, from a cell relaxed with PBE.
Peak positions follow from Bragg's law for the DFT cell and can differ from measured ones.

Structure:
```
data_Mg3TlCd
_chemical_formula_sum 'Mg6 Tl2 Cd2'
_cell_length_a 4.7272
_cell_length_b 6.1828
_cell_length_c 8.4468
_cell_angle_alpha 90.00
_cell_angle_beta 90.00
_cell_angle_gamma 90.00
_space_group_name_H-M_alt 'P m m n'
_space_group_IT_number 59
loop_
_space_group_symop_operation_xyz
'x,y,z'
'-x,-y,-z'
'-x+1/2,-y+1/2,z'
'x+1/2,y+1/2,-z'
'x+1/2,-y,-z'
'-x+1/2,y,z'
'-x,y+1/2,-z'
'x,-y+1/2,z'
loop_
_atom_site_label
_atom_site_fract_x
_atom_site_fract_y
_atom_site_fract_z
Mg1 0.2500 0.0055 0.2212
Mg2 0.2500 0.7500 0.5805
Tl1 0.2500 0.2500 0.6334
Cd1 0.2500 0.7500 0.9279
```

Most intense lines, 10° ≤ 2θ ≤ 90°, by angle:
two_theta, I/Imax
21.54, 43
25.54, 81
25.97, 100
28.88, 35
36.32, 63
37.17, 39

***

3.
Theoretical X-ray diffraction stick pattern of MgTl17Cd11 for Cu Kα, 1.54184 Å, from a cell relaxed with PBE.
Peak positions follow from Bragg's law for the DFT cell and can differ from measured ones.

Structure:
```
data_MgTl17Cd11
_chemical_formula_sum 'Mg2 Tl34 Cd22'
_cell_length_a 11.7465
_cell_length_b 16.5548
_cell_length_c 10.1501
_cell_angle_alpha 90.00
_cell_angle_beta 125.17
_cell_angle_gamma 90.00
_space_group_name_H-M_alt 'C 1 m 1'
_space_group_IT_number 8
loop_
_space_group_symop_operation_xyz
'x,y,z'
'x,-y,z'
'x+1/2,y+1/2,z'
'x+1/2,-y+1/2,z'
loop_
_atom_site_label
_atom_site_fract_x
_atom_site_fract_y
_atom_site_fract_z
Mg1 0.0000 0.0000 0.0000
Tl1 0.0699 0.3010 0.8646
Tl2 0.1878 0.5000 0.8952
Tl3 0.1921 0.1744 0.1809
Tl4 0.2090 0.1604 0.5813
Tl5 0.2171 0.5000 0.5303
Tl6 0.3179 0.3429 0.7872
Tl7 0.3651 0.0000 0.1793
Tl8 0.3712 0.0000 0.8278
Tl9 0.3817 0.3019 0.4965
Tl10 0.4093 0.3589 0.1820
Tl11 0.4739 0.5000 0.4705
Cd1 0.0488 0.3175 0.3659
Cd2 0.0980 0.0924 0.8187
Cd3 0.1432 0.4101 0.1807
Cd4 0.1844 0.0000 0.3614
Cd5 0.3672 0.1834 0.9959
Cd6 0.4615 0.0929 0.5489
```

Most intense lines, 10° ≤ 2θ ≤ 90°, by angle:
two_theta, I/Imax
32.35, 99
32.42, 100
35.95, 16
57.65, 13
57.75, 24
57.84, 23

***

4.
Theoretical X-ray diffraction stick pattern of Mg5Tl5Cd2 for Cu Kα, 1.54184 Å, from a cell relaxed with PBE.
Peak positions follow from Bragg's law for the DFT cell and can differ from measured ones.

Structure:
```
data_Mg5Tl5Cd2
_chemical_formula_sum 'Mg10 Tl10 Cd4'
_cell_length_a 14.6233
_cell_length_b 4.3831
_cell_length_c 10.5030
_cell_angle_alpha 90.00
_cell_angle_beta 117.30
_cell_angle_gamma 90.00
_space_group_name_H-M_alt 'C 1 2/m 1'
_space_group_IT_number 12
loop_
_space_group_symop_operation_xyz
'x,y,z'
'-x,-y,-z'
'-x,y,-z'
'x,-y,z'
'x+1/2,y+1/2,z'
'-x+1/2,-y+1/2,-z'
'-x+1/2,y+1/2,-z'
'x+1/2,-y+1/2,z'
loop_
_atom_site_label
_atom_site_fract_x
_atom_site_fract_y
_atom_site_fract_z
Mg1 0.0000 0.0000 0.0000
Mg2 0.0791 0.0000 0.7412
Mg3 0.2486 0.5000 0.7461
Tl1 0.0000 0.5000 0.5000
Tl2 0.0885 0.5000 0.2508
Tl3 0.1639 0.5000 0.9916
Cd1 0.1721 0.0000 0.5082
```

Most intense lines, 10° ≤ 2θ ≤ 90°, by angle:
two_theta, I/Imax
21.39, 52
33.47, 100
33.60, 99
36.88, 38
38.59, 37
41.19, 29

***

5.
Theoretical X-ray diffraction stick pattern of Mg2TlCd for Cu Kα, 1.54184 Å, from a cell relaxed with PBE.
Peak positions follow from Bragg's law for the DFT cell and can differ from measured ones.

Structure:
```
data_Mg2TlCd
_chemical_formula_sum 'Mg4 Tl2 Cd2'
_cell_length_a 3.3500
_cell_length_b 5.2194
_cell_length_c 10.7199
_cell_angle_alpha 88.96
_cell_angle_beta 89.72
_cell_angle_gamma 89.85
_space_group_name_H-M_alt 'P -1'
_space_group_IT_number 2
loop_
_space_group_symop_operation_xyz
'x,y,z'
'-x,-y,-z'
loop_
_atom_site_label
_atom_site_fract_x
_atom_site_fract_y
_atom_site_fract_z
Mg1 0.0005 0.2004 0.3717
Mg2 0.0020 0.7377 0.1535
Tl1 0.4965 0.7588 0.8840
Cd1 0.4984 0.2971 0.6085
```

Most intense lines, 10° ≤ 2θ ≤ 90°, by angle:
two_theta, I/Imax
23.58, 84
24.02, 74
26.61, 63
33.44, 61
35.75, 55
36.15, 100

***

6.
Theoretical X-ray diffraction stick pattern of Tm2MgCd for Cu Kα, 1.54184 Å, from a cell relaxed with PBE.
Peak positions follow from Bragg's law for the DFT cell and can differ from measured ones.

Structure:
```
data_Tm2MgCd
_chemical_formula_sum 'Tm2 Mg1 Cd1'
_cell_length_a 3.7433
_cell_length_b 3.7433
_cell_length_c 7.3649
_cell_angle_alpha 90.00
_cell_angle_beta 90.00
_cell_angle_gamma 90.00
_space_group_name_H-M_alt 'P 4/m m m'
_space_group_IT_number 123
_space_group_name_Hall '-P 4 2'
loop_
_atom_site_label
_atom_site_fract_x
_atom_site_fract_y
_atom_site_fract_z
Tm1 0.0000 0.0000 0.2471
Mg1 0.5000 0.5000 0.5000
Cd1 0.5000 0.5000 0.0000
```

Most intense lines, 10° ≤ 2θ ≤ 90°, by angle:
two_theta, I/Imax
23.77, 21
33.87, 51
34.16, 100
48.65, 18
60.78, 38
61.33, 18

***

7.
Theoretical X-ray diffraction stick pattern of TmMg2Cd4 for Cu Kα, 1.54184 Å, from a cell relaxed with PBE.
Peak positions follow from Bragg's law for the DFT cell and can differ from measured ones.

Structure:
```
data_TmMg2Cd4
_chemical_formula_sum 'Tm1 Mg2 Cd4'
_cell_length_a 5.2676
_cell_length_b 5.4610
_cell_length_c 5.9907
_cell_angle_alpha 100.29
_cell_angle_beta 107.14
_cell_angle_gamma 93.16
_space_group_name_H-M_alt 'P 1'
_space_group_IT_number 1
loop_
_space_group_symop_operation_xyz
'x,y,z'
loop_
_atom_site_label
_atom_site_fract_x
_atom_site_fract_y
_atom_site_fract_z
Tm1 0.0000 0.0000 0.0000
Mg1 0.4298 0.6625 0.8359
Mg2 0.6940 0.8536 0.4099
Cd1 0.1278 0.5641 0.2864
Cd2 0.2888 0.1058 0.5903
Cd3 0.5646 0.2844 0.1533
Cd4 0.8621 0.4263 0.6917
```

Most intense lines, 10° ≤ 2θ ≤ 90°, by angle:
two_theta, I/Imax
32.93, 100
34.45, 91
34.90, 89
36.29, 77
37.84, 69
38.17, 70

***

8.
Theoretical X-ray diffraction stick pattern of Tm3MgCd3 for Cu Kα, 1.54184 Å, from a cell relaxed with PBE.
Peak positions follow from Bragg's law for the DFT cell and can differ from measured ones.

Structure:
```
data_Tm3MgCd3
_chemical_formula_sum 'Tm12 Mg4 Cd12'
_cell_length_a 10.3101
_cell_length_b 10.5452
_cell_length_c 6.8282
_cell_angle_alpha 90.00
_cell_angle_beta 90.09
_cell_angle_gamma 90.00
_space_group_name_H-M_alt 'C 1 2/m 1'
_space_group_IT_number 12
loop_
_space_group_symop_operation_xyz
'x,y,z'
'-x,-y,-z'
'-x,y,-z'
'x,-y,z'
'x+1/2,y+1/2,z'
'-x+1/2,-y+1/2,-z'
'-x+1/2,y+1/2,-z'
'x+1/2,-y+1/2,z'
loop_
_atom_site_label
_atom_site_fract_x
_atom_site_fract_y
_atom_site_fract_z
Tm1 0.0015 0.0000 0.2491
Tm2 0.2499 0.2481 0.7496
Mg1 0.1725 0.5000 0.9949
Cd1 0.0000 0.2606 0.0000
Cd2 0.0000 0.2863 0.5000
Cd3 0.2156 0.5000 0.5024
```

Most intense lines, 10° ≤ 2θ ≤ 90°, by angle:
two_theta, I/Imax
34.01, 28
34.81, 25
35.85, 100
49.45, 16
62.06, 16
63.08, 14

***

9.
Theoretical X-ray diffraction stick pattern of Tm3Mg2Cd2 for Cu Kα, 1.54184 Å, from a cell relaxed with PBE.
Peak positions follow from Bragg's law for the DFT cell and can differ from measured ones.

Structure:
```
data_Tm3Mg2Cd2
_chemical_formula_sum 'Tm3 Mg2 Cd2'
_cell_length_a 4.9781
_cell_length_b 5.9298
_cell_length_c 6.6431
_cell_angle_alpha 87.53
_cell_angle_beta 89.90
_cell_angle_gamma 65.28
_space_group_name_H-M_alt 'P -1'
_space_group_IT_number 2
loop_
_space_group_symop_operation_xyz
'x,y,z'
'-x,-y,-z'
loop_
_atom_site_label
_atom_site_fract_x
_atom_site_fract_y
_atom_site_fract_z
Tm1 0.0000 0.0000 0.0000
Tm2 0.3935 0.2123 0.3008
Mg1 0.3019 0.3949 0.8188
Cd1 0.1241 0.7539 0.4286
```

Most intense lines, 10° ≤ 2θ ≤ 90°, by angle:
two_theta, I/Imax
21.74, 22
23.60, 41
33.15, 86
33.83, 100
36.09, 43
36.62, 29

***

10.
Theoretical X-ray diffraction stick pattern of TmMg2Cd for Cu Kα, 1.54184 Å, from a cell relaxed with PBE.
Peak positions follow from Bragg's law for the DFT cell and can differ from measured ones.

Structure:
```
data_TmMg2Cd
_chemical_formula_sum 'Tm2 Mg4 Cd2'
_cell_length_a 5.1054
_cell_length_b 5.1054
_cell_length_c 7.1375
_cell_angle_alpha 90.00
_cell_angle_beta 90.00
_cell_angle_gamma 90.00
_space_group_name_H-M_alt 'I -4 m 2'
_space_group_IT_number 119
_space_group_name_Hall 'I -4 -2'
loop_
_atom_site_label
_atom_site_fract_x
_atom_site_fract_y
_atom_site_fract_z
Tm1 0.0000 0.0000 0.0000
Mg1 0.0000 0.0000 0.5000
Mg2 0.0000 0.5000 0.2500
Cd1 0.0000 0.5000 0.7500
```

Most intense lines, 10° ≤ 2θ ≤ 90°, by angle:
two_theta, I/Imax
21.40, 89
35.16, 51
35.37, 100
41.53, 32
50.57, 18
63.22, 36

***

11.
Theoretical X-ray diffraction stick pattern of Tm3Mg4Cd4 for Cu Kα, 1.54184 Å, from a cell relaxed with PBE.
Peak positions follow from Bragg's law for the DFT cell and can differ from measured ones.

Structure:
```
data_Tm3Mg4Cd4
_chemical_formula_sum 'Tm3 Mg4 Cd4'
_cell_length_a 3.3924
_cell_length_b 4.9821
_cell_length_c 15.8504
_cell_angle_alpha 81.03
_cell_angle_beta 83.89
_cell_angle_gamma 89.99
_space_group_name_H-M_alt 'P -1'
_space_group_IT_number 2
loop_
_space_group_symop_operation_xyz
'x,y,z'
'-x,-y,-z'
loop_
_atom_site_label
_atom_site_fract_x
_atom_site_fract_y
_atom_site_fract_z
Tm1 0.0000 0.0000 0.0000
Tm2 0.1405 0.6399 0.7194
Mg1 0.2642 0.2646 0.4710
Mg2 0.4077 0.9082 0.1838
Cd1 0.3169 0.8174 0.3662
Cd2 0.4536 0.4530 0.0942
```

Most intense lines, 10° ≤ 2θ ≤ 90°, by angle:
two_theta, I/Imax
32.44, 63
33.22, 61
33.98, 100
36.06, 53
36.48, 60
36.53, 50

***

12.
Theoretical X-ray diffraction stick pattern of TmMg3Cd9 for Cu Kα, 1.54184 Å, from a cell relaxed with PBE.
Peak positions follow from Bragg's law for the DFT cell and can differ from measured ones.

Structure:
```
data_TmMg3Cd9
_chemical_formula_sum 'Tm2 Mg6 Cd18'
_cell_length_a 6.0260
_cell_length_b 13.9202
_cell_length_c 7.5376
_cell_angle_alpha 90.00
_cell_angle_beta 113.21
_cell_angle_gamma 90.00
_space_group_name_H-M_alt 'C 1 2/m 1'
_space_group_IT_number 12
loop_
_space_group_symop_operation_xyz
'x,y,z'
'-x,-y,-z'
'-x,y,-z'
'x,-y,z'
'x+1/2,y+1/2,z'
'-x+1/2,-y+1/2,-z'
'-x+1/2,y+1/2,-z'
'x+1/2,-y+1/2,z'
loop_
_atom_site_label
_atom_site_fract_x
_atom_site_fract_y
_atom_site_fract_z
Tm1 0.0000 0.0000 0.0000
Mg1 0.0000 0.0000 0.5000
Mg2 0.2500 0.2500 0.0000
Cd1 0.0000 0.5000 0.5000
Cd2 0.1142 0.3923 0.2134
Cd3 0.1684 0.1733 0.3430
```

Most intense lines, 10° ≤ 2θ ≤ 90°, by angle:
two_theta, I/Imax
29.65, 56
31.03, 48
36.14, 100
36.35, 46
36.60, 51
39.55, 37

***

13.
Theoretical X-ray diffraction stick pattern of Mg14VCd for Cu Kα, 1.54184 Å, from a cell relaxed with PBE.
Peak positions follow from Bragg's law for the DFT cell and can differ from measured ones.

Structure:
```
data_Mg14VCd
_chemical_formula_sum 'Mg14 V1 Cd1'
_cell_length_a 6.2848
_cell_length_b 6.2848
_cell_length_c 10.3063
_cell_angle_alpha 90.00
_cell_angle_beta 90.00
_cell_angle_gamma 120.00
_space_group_name_H-M_alt 'P -6 m 2'
_space_group_IT_number 187
_space_group_name_Hall 'P -6 2'
loop_
_atom_site_label
_atom_site_fract_x
_atom_site_fract_y
_atom_site_fract_z
Mg1 0.0000 0.0000 0.2491
Mg2 0.0058 0.5029 0.2454
Mg3 0.3331 0.1665 0.5000
Mg4 0.3337 0.1668 0.0000
V1 0.3333 0.6667 0.0000
Cd1 0.3333 0.6667 0.5000
```

Most intense lines, 10° ≤ 2θ ≤ 90°, by angle:
two_theta, I/Imax
16.29, 26
23.78, 19
32.91, 27
34.82, 27
37.37, 100
64.11, 19